Structure and theoretical powder XRD pattern of BaMgCo4 (a cell relaxed with GGA-PBE; λ = 1.5418 Å (Cu Kα)).
No peak broadening, texture or thermal motion is included.

Crystal structure
Unit cell a=5.194 b=5.194 c=5.194 alpha=60.00 beta=60.00 gamma=60.00
Fractional positions:
Ba  0.000  0.000  0.000
Mg  0.250  0.250  0.250
Co  0.131  0.623  0.623
Co  0.623  0.131  0.623
Co  0.623  0.623  0.131
Co  0.623  0.623  0.623

Main lines, low angle first (10 to 80 degrees two-theta):
20.95°, d = 4.241 Å, I 16; 24.23°, d = 3.673 Å, I 21; 34.54°, d = 2.597 Å, I 33; 40.74°, d = 2.215 Å, I 100; 42.64°, d = 2.120 Å, I 35; 54.45°, d = 1.685 Å, I 5; 55.99°, d = 1.642 Å, I 6; 61.88°, d = 1.499 Å, I 12; 66.10°, d = 1.414 Å, I 31; 72.84°, d = 1.298 Å, I 22